The following is a theoretical powder diffractogram of HoPuFe2O8. It was derived from a cell relaxed with PBE+U, using Cu Kα.

Principal peaks in the range 15 to 90 degrees two-theta, sorted by position:
| 2θ/deg | I/Imax |
| --- | --- |
| 18.5 | 66.1 |
| 25.8 | 100.0 |
| 31.9 | 20.4 |
| 32.4 | 89.1 |
| 36.9 | 24.3 |
| 41.5 | 15.6 |
| 49.9 | 67.8 |
| 53.1 | 16.1 |
| 61.5 | 16.7 |
| 63.6 | 19.2 |

Cell and atoms:
abc: 5.9169 5.9169 5.9169
angles: 108.72 108.72 110.98
Element x y z (fractional)
Ho  0.0000  0.0000  0.0000
Pu  0.2500  0.7500  0.5000
Fe  0.5000  0.5000  0.0000
Fe  0.7500  0.2500  0.5000
O  0.3070  0.1064  0.7994
O  0.3070  0.5076  0.2006
O  0.3694  0.0512  0.3181
O  0.4924  0.6930  0.7994
O  0.7331  0.0512  0.6819
O  0.8936  0.6930  0.2006
O  0.9488  0.2669  0.3181
O  0.9488  0.6306  0.6819